AlAs: simulated powder diffraction line list (a wavelength of 1.5418 Å), based on a crystal structure in the Materials Project, relaxed with PBE.

Top 7 peaks for 2θ from 10° to 80°, in order of falling intensity:
2theta	I (rel.)
33.85	100
48.62	70
29.20	45
60.55	24
57.72	20
71.21	11
78.75	8

Crystal structure
```
AlAs
1.0
0.0000 2.6485 2.6485
2.6485 0.0000 2.6485
2.6485 2.6485 0.0000
Al As
1 1
Direct
0.0000 0.0000 0.0000
0.5000 0.5000 0.5000
```

---

AlAs: simulated powder diffraction line list (a wavelength of 1.5418 Å), based on a crystal structure in the Materials Project, relaxed with PBE.

Top 12 peaks for 2θ from 10° to 80°, in order of falling intensity:
2theta	I (rel.)
31.20	100
48.50	71
28.42	39
52.09	19
25.37	13
73.92	12
60.41	10
76.78	9
21.92	8
72.48	8
61.98	7
42.70	7

Crystal structure
```
AlAs
1.0
7.0225 0.0000 0.0000
0.0000 7.0225 0.0000
0.0000 0.0000 7.0225
Al As
8 8
Direct
0.1585 0.1585 0.1585
0.1585 0.3415 0.6585
0.3415 0.6585 0.1585
0.3415 0.8415 0.6585
0.6585 0.1585 0.3415
0.6585 0.3415 0.8415
0.8415 0.6585 0.3415
0.8415 0.8415 0.8415
0.1412 0.6412 0.8588
0.1412 0.8588 0.3588
0.3588 0.1412 0.8588
0.3588 0.3588 0.3588
0.6412 0.6412 0.6412
0.6412 0.8588 0.1412
0.8588 0.1412 0.6412
0.8588 0.3588 0.1412
```

---

AlAs: simulated powder diffraction line list (a wavelength of 1.5418 Å), based on a crystal structure in the Materials Project, relaxed with PBE.

Top 12 peaks for 2θ from 10° to 80°, in order of falling intensity:
2theta	I (rel.)
31.10	100
40.79	45
48.08	35
53.72	21
58.37	16
78.90	13
64.84	11
29.80	10
57.60	10
74.94	8
61.91	5
27.21	2

Crystal structure
```
AlAs
1.0
3.7849 0.0000 0.0000
-1.8925 3.2778 0.0000
0.0000 0.0000 5.9955
Al As
2 2
Direct
0.0000 0.0000 0.0000
0.0000 0.0000 0.5000
0.3333 0.6667 0.2500
0.6667 0.3333 0.7500
```

---

AlAs: simulated powder diffraction line list (a wavelength of 1.5418 Å), based on a crystal structure in the Materials Project, relaxed with PBE.

Top 8 peaks for 2θ from 10° to 80°, in order of falling intensity:
2theta	I (rel.)
26.93	100
44.70	60
52.97	45
31.20	19
71.76	18
65.07	10
73.92	6
55.52	5

Crystal structure
```
AlAs
1.0
0.0000 2.8669 2.8669
2.8669 0.0000 2.8669
2.8669 2.8669 0.0000
Al As
1 1
Direct
0.0000 0.0000 0.0000
0.7500 0.7500 0.7500
```

---

AlAs: simulated powder diffraction line list (a wavelength of 1.5418 Å), based on a crystal structure in the Materials Project, relaxed with PBE.

Top 12 peaks for 2θ from 10° to 80°, in order of falling intensity:
2theta	I (rel.)
32.88	100
47.66	69
16.58	60
33.51	47
59.11	36
47.19	36
37.04	34
78.52	16
78.87	15
79.92	15
50.35	14
68.95	11

Crystal structure
```
AlAs
1.0
2.7240 0.0000 0.0000
0.0000 2.7240 0.0000
0.0000 0.0000 5.3484
Al As
1 1
Direct
0.0000 0.0000 0.0000
0.0000 0.0000 0.5000
```

---

Ba3Al2As4: simulated powder diffraction line list (a wavelength of 1.5418 Å), based on a crystal structure in the Materials Project, relaxed with PBE.

Top 12 peaks for 2θ from 10° to 80°, in order of falling intensity:
2theta	I (rel.)
29.32	100
28.87	91
26.26	73
33.36	52
32.55	47
23.45	29
62.50	22
45.41	21
39.07	18
45.68	17
39.37	17
38.17	15

Crystal structure
```
Ba3Al2As4
1.0
7.5680 0.0000 0.0000
0.0000 11.9850 0.0000
0.0000 0.0000 12.0248
Ba Al As
12 8 16
Direct
0.0816 0.0773 0.1386
0.0816 0.4227 0.1386
0.0934 0.2500 0.7611
0.4066 0.7500 0.2611
0.4184 0.5773 0.6386
0.4184 0.9227 0.6386
0.5816 0.0773 0.3614
0.5816 0.4227 0.3614
0.5934 0.2500 0.7389
0.9066 0.7500 0.2389
0.9184 0.5773 0.8614
0.9184 0.9227 0.8614
0.0597 0.1254 0.4628
0.0597 0.3746 0.4628
0.4403 0.6254 0.9628
0.4403 0.8746 0.9628
0.5597 0.1254 0.0372
0.5597 0.3746 0.0372
0.9403 0.6254 0.5372
0.9403 0.8746 0.5372
0.0916 0.7500 0.6741
0.1579 0.5591 0.3873
0.1579 0.9409 0.3873
0.1866 0.7500 0.0280
0.3134 0.2500 0.5280
0.3421 0.0591 0.8873
0.3421 0.4409 0.8873
0.4084 0.2500 0.1741
0.5916 0.7500 0.8259
0.6579 0.5591 0.1127
0.6579 0.9409 0.1127
0.6866 0.7500 0.4720
0.8134 0.2500 0.9720
0.8421 0.0591 0.6127
0.8421 0.4409 0.6127
0.9084 0.2500 0.3259
```

---

Ca2AlCuAs3O19: simulated powder diffraction line list (a wavelength of 1.5418 Å), based on a crystal structure in the Materials Project, relaxed with PBE.

Top 12 peaks for 2θ from 10° to 80°, in order of falling intensity:
2theta	I (rel.)
17.90	100
31.17	58
22.41	57
30.17	55
27.94	54
32.59	46
31.74	46
36.25	33
26.14	28
27.83	28
21.53	28
55.62	26

Crystal structure
```
Ca2AlCuAs3O19
1.0
5.8857 0.0000 0.0000
2.1227 9.9130 0.0000
2.1470 0.2592 11.9019
Ca Al Cu As O
4 2 2 6 38
Direct
0.0584 0.4369 0.2178
0.2559 0.0525 0.2153
0.7441 0.9475 0.7847
0.9416 0.5631 0.7822
0.0000 0.0000 0.0000
0.5000 0.5000 0.0000
0.1869 0.7513 0.1501
0.8131 0.2487 0.8499
0.2807 0.2480 0.9398
0.3039 0.7534 0.8374
0.4467 0.7327 0.5036
0.5533 0.2673 0.4964
0.6961 0.2466 0.1626
0.7193 0.7520 0.0602
0.0008 0.4610 0.4278
0.0269 0.9239 0.1428
0.0789 0.3239 0.8551
0.0853 0.7677 0.7594
0.1012 0.7803 0.3459
0.1942 0.1230 0.0268
0.2074 0.9532 0.3975
0.2545 0.6413 0.4645
0.2739 0.6061 0.9157
0.2824 0.8819 0.9270
0.3054 0.3694 0.0274
0.3210 0.8900 0.5537
0.3262 0.2752 0.6112
0.3385 0.5727 0.1433
0.4030 0.4755 0.7291
0.4135 0.2524 0.2377
0.4182 0.3700 0.3900
0.4213 0.0807 0.6811
0.4591 0.8193 0.1489
0.5409 0.1807 0.8511
0.5787 0.9193 0.3189
0.5818 0.6300 0.6100
0.5865 0.7476 0.7623
0.5970 0.5245 0.2709
0.6615 0.4273 0.8567
0.6738 0.7248 0.3888
0.6790 0.1100 0.4463
0.6946 0.6306 0.9726
0.7176 0.1181 0.0730
0.7261 0.3939 0.0843
0.7455 0.3587 0.5355
0.7926 0.0468 0.6025
0.8058 0.8770 0.9732
0.8988 0.2197 0.6541
0.9147 0.2323 0.2406
0.9211 0.6761 0.1449
0.9731 0.0761 0.8572
0.9992 0.5390 0.5722
```

---

NaCa2Al2As2O11F4: simulated powder diffraction line list (a wavelength of 1.5418 Å), based on a crystal structure in the Materials Project, relaxed with PBE.

Top 12 peaks for 2θ from 10° to 80°, in order of falling intensity:
2theta	I (rel.)
25.03	100
29.40	79
29.54	57
32.90	56
50.08	49
23.30	46
16.22	44
18.25	39
29.03	39
28.22	36
26.60	30
29.70	27

Crystal structure
```
NaCa2Al2As2O11F4
1.0
5.6203 0.0000 0.0000
0.0000 10.9280 0.0000
-2.5271 0.0000 9.3717
Na Ca Al As O F
2 4 4 4 22 8
Direct
0.0016 0.2500 0.3291
0.9984 0.7500 0.6709
0.3926 0.0862 0.1416
0.3926 0.4138 0.1416
0.6074 0.5862 0.8584
0.6074 0.9138 0.8584
0.0155 0.0906 0.7372
0.0155 0.4094 0.7372
0.9845 0.5906 0.2628
0.9845 0.9094 0.2628
0.1769 0.7500 0.0396
0.3750 0.7500 0.4973
0.6250 0.2500 0.5027
0.8231 0.2500 0.9604
0.1140 0.2500 0.0727
0.1333 0.2500 0.7756
0.1980 0.6227 0.4424
0.1980 0.8773 0.4424
0.2045 0.6201 0.1468
0.2045 0.8799 0.1468
0.2967 0.0687 0.6551
0.2967 0.4313 0.6551
0.3407 0.2500 0.5482
0.3852 0.7500 0.9419
0.4531 0.7500 0.6798
0.5469 0.2500 0.3202
0.6148 0.2500 0.0581
0.6593 0.7500 0.4518
0.7033 0.5687 0.3449
0.7033 0.9313 0.3449
0.7955 0.1201 0.8532
0.7955 0.3799 0.8532
0.8020 0.1227 0.5576
0.8020 0.3773 0.5576
0.8667 0.7500 0.2244
0.8860 0.7500 0.9273
0.0978 0.0639 0.2808
0.0978 0.4361 0.2808
0.2699 0.0313 0.8954
0.2699 0.4687 0.8954
0.7301 0.5313 0.1046
0.7301 0.9687 0.1046
0.9022 0.5639 0.7192
0.9022 0.9361 0.7192
```